1.
Diffraction record for GdScHgRh. The PXRD pattern is calculated, not measured: it uses a DFT-relaxed cell (GGA-PBE, Alexandria) and copper Kα.
Lines closer than 0.1° are merged.

Top 11 peaks for 10° ≤ 2θ ≤ 80°, by angle:
two_theta  I (rel.)
21.99  19
25.44  5
36.29  100
42.83  11
44.84  2
52.26  18
57.36  5
58.99  2
65.28  36
69.79  4
77.04  11

Crystal structure
Cell lengths 4.951, 4.951, 4.951 Å; angles 60.00, 60.00, 60.00 degrees
Atoms (fractional coordinates):
Gd 0.000 0.000 0.000
Sc 0.500 0.500 0.500
Hg 0.250 0.250 0.250
Rh 0.750 0.750 0.750

2.
Diffraction record for GdTmHg2. The PXRD pattern is calculated, not measured: it uses a DFT-relaxed cell (GGA-PBE, Alexandria) and copper Kα.
Lines closer than 0.1° are merged.

Top 12 peaks for 10° ≤ 2θ ≤ 80°, by angle:
two_theta  I (rel.)
11.73  1
24.17  1
34.03  100
34.44  49
43.59  1
48.26  9
49.50  18
60.63  18
61.43  37
71.63  11
72.40  1
72.61  6

Crystal structure
Cell lengths 3.683, 3.683, 7.543 Å; angles 90.00, 90.00, 90.00 degrees
Atoms (fractional coordinates):
Gd 0.000 0.000 0.000
Tm 0.000 0.000 0.500
Hg 0.500 0.500 0.263
Hg 0.500 0.500 0.737

3.
Diffraction record for Gd2ZrHg. The PXRD pattern is calculated, not measured: it uses a DFT-relaxed cell (GGA-PBE, Alexandria) and copper Kα.
Lines closer than 0.1° are merged.

Top 12 peaks for 10° ≤ 2θ ≤ 80°, by angle:
two_theta  I (rel.)
18.92  6
26.84  5
33.05  100
38.27  17
38.39  33
43.02  2
47.46  2
55.35  35
59.02  2
65.89  14
66.05  27
69.34  12

Crystal structure
Cell lengths 4.690, 4.690, 4.704 Å; angles 90.00, 90.00, 90.00 degrees
Atoms (fractional coordinates):
Gd 0.000 0.500 0.000
Gd 0.500 0.000 0.000
Zr 0.000 0.000 0.500
Hg 0.500 0.500 0.500

4.
Diffraction record for GdHo3. The PXRD pattern is calculated, not measured: it uses a DFT-relaxed cell (GGA-PBE, Alexandria) and copper Kα.
Lines closer than 0.1° are merged.

Top 6 peaks for 10° ≤ 2θ ≤ 80°, by angle:
two_theta  I (rel.)
30.98  100
35.92  51
51.71  36
61.51  43
64.57  12
76.16  6

Crystal structure
Cell lengths 5.000, 5.000, 5.000 Å; angles 90.00, 90.00, 90.00 degrees
Atoms (fractional coordinates):
Gd 0.000 0.000 0.000
Ho 0.000 0.500 0.500
Ho 0.500 0.000 0.500
Ho 0.500 0.500 0.000

5.
Diffraction record for GdHoTmIn. The PXRD pattern is calculated, not measured: it uses a DFT-relaxed cell (GGA-PBE, Alexandria) and copper Kα.
Lines closer than 0.1° are merged.

Top 7 peaks for 10° ≤ 2θ ≤ 80°, by angle:
two_theta  I (rel.)
20.04  2
33.01  100
38.92  1
47.38  18
58.95  38
69.25  12
78.88  16

Crystal structure
Cell lengths 5.427, 5.427, 5.427 Å; angles 60.00, 60.00, 60.00 degrees
Atoms (fractional coordinates):
Gd 0.000 0.000 0.000
Ho 0.500 0.500 0.500
Tm 0.750 0.750 0.750
In 0.250 0.250 0.250

6.
Diffraction record for GdHoZnIr. The PXRD pattern is calculated, not measured: it uses a DFT-relaxed cell (GGA-PBE, Alexandria) and copper Kα.
Lines closer than 0.1° are merged.

Top 9 peaks for 10° ≤ 2θ ≤ 80°, by angle:
two_theta  I (rel.)
22.03  10
25.50  1
36.37  100
42.93  5
52.38  18
57.49  2
65.44  36
69.96  2
77.24  11

Crystal structure
Cell lengths 4.941, 4.941, 4.941 Å; angles 60.00, 60.00, 60.00 degrees
Atoms (fractional coordinates):
Gd 0.000 0.000 0.000
Ho 0.500 0.500 0.500
Zn 0.750 0.750 0.750
Ir 0.250 0.250 0.250